Starting from DFT lattice parameters and positions (GGA-PBE), the XRD peak list of Cs3RbBi2Au2 was simulated for Cu Kα, 1.54184 Å.
Neutral-atom scattering factors, no anomalous dispersion.

Principal peaks in the range 5 to 70 degrees two-theta, sorted by position:
13.0°, rel. 23
15.2°, rel. 62
25.6°, rel. 29
28.0°, rel. 25
28.1°, rel. 100
28.5°, rel. 63
33.0°, rel. 75
36.3°, rel. 25
36.7°, rel. 21
45.5°, rel. 19
45.8°, rel. 21
46.9°, rel. 20

Atomic structure:
a b c (Å): 7.0478 7.2313 7.2074
angles (deg): 90.00 109.42 90.00
Space group Pm (No. 6)
Inequivalent atoms, fractional coordinates:
Cs1 0.0000 0.0000 0.0000 (multiplicity 1)
Cs2 0.0050 0.5000 0.3174 (multiplicity 1)
Cs3 0.3407 0.0000 0.6650 (multiplicity 1)
Rb1 0.6666 0.5000 0.6507 (multiplicity 1)
Bi1 0.2559 0.5000 0.8966 (multiplicity 1)
Bi2 0.7574 0.0000 0.4208 (multiplicity 1)
Au1 0.5010 0.2504 0.1645 (multiplicity 2)